Entry 1:
# Ho2Fe4IrC4
Computed X-ray diffraction stick pattern, Cu Kα, 1.54184 Å. Input: a structure optimized by DFT (GGA-PBE).

Structure:
```
Ho2Fe4IrC4
1.0
0.000 4.771 5.157
2.516 0.000 5.157
2.516 4.771 0.000
Ho Fe Ir C
2 4 1 4
Cartesian
2.516 4.771 1.556
2.516 4.771 8.759
1.258 2.386 0.000
1.258 2.386 2.579
1.258 2.386 5.157
3.774 7.157 7.736
2.516 4.771 5.157
2.516 3.171 3.776
2.516 3.171 6.539
2.516 6.371 3.776
2.516 6.371 6.539
```

Most intense lines, 2θ from 5° to 70°, most intense first:
2θ/deg  I/Imax
32.9  100
40.5  65
42.7  60
37.7  40
18.6  26
58.3  20
62.4  16
70.0  14
68.9  14
69.0  11
39.7  10
56.9  9

Entry 2:
# SrDyNO
Computed X-ray diffraction stick pattern, Cu Kα, 1.54184 Å. Input: a structure optimized by DFT (GGA-PBE).

Structure:
```
SrDyNO
1.0
4.968 0.000 0.000
0.000 4.968 0.000
0.000 0.000 5.108
Sr Dy N O
2 2 2 2
Cartesian
1.242 1.242 5.105
3.726 3.726 0.002
1.242 3.726 2.554
3.726 1.242 2.554
1.242 1.242 2.542
3.726 3.726 2.566
1.242 3.726 0.000
3.726 1.242 0.000
```

Most intense lines, 2θ from 5° to 70°, most intense first:
2θ/deg  I/Imax
30.9  100
36.2  54
51.3  38
61.8  30
35.1  29
64.4  19
52.1  18
60.4  16
17.4  10
25.4  10
40.4  5
43.8  5

Entry 3:
# MgHgPb2
Computed X-ray diffraction stick pattern, Cu Kα, 1.54184 Å. Input: a structure optimized by DFT (GGA-PBE).

Structure:
```
MgHgPb2
1.0
0.000 3.781 3.781
3.781 0.000 3.781
3.781 3.781 0.000
Mg Hg Pb
1 1 2
Cartesian
0.000 0.000 0.000
1.891 1.891 1.891
3.781 3.781 3.781
5.672 5.672 5.672
```

Most intense lines, 2θ from 5° to 70°, most intense first:
2θ/deg  I/Imax
33.5  100
59.9  39
48.1  18
20.3  18
39.5  10
23.5  9
52.8  5
54.2  4
64.0  3
41.4  3